Entry 1:
This entry pairs a crystal structure of K2CaMg5Si8H2O24 with its simulated powder diffraction line list. Radiation: copper Kα. Structure: a crystal structure in Alexandria, relaxed with GGA-PBE.
Peak positions follow from Bragg's law for the DFT cell and can differ from measured ones.

Structural model:
```
42
Lattice="5.337 0.000 0.000 -2.640 10.006 0.000 -1.349 -5.003 9.145" Properties=species:S:1:pos:R:3 pbc="T T T"
K 0.000 0.000 0.000
K -1.327 5.009 5.302
Ca 1.348 5.004 1.190
Mg 0.000 0.002 3.579
Mg -0.001 0.000 6.847
Mg 2.669 0.000 1.892
Mg 2.668 0.001 5.198
Mg 2.668 0.001 8.506
Si -0.887 2.834 2.102
Si -1.753 7.174 2.103
Si -0.915 2.769 8.357
Si 0.913 -2.768 8.357
Si 1.788 2.701 3.656
Si 0.910 7.306 3.657
Si 1.762 2.656 6.757
Si 3.573 -2.654 6.758
H -0.877 1.984 5.227
H 0.877 -1.982 5.224
O -0.912 1.222 2.185
O -0.593 3.672 0.757
O -2.294 3.315 7.548
O -0.875 1.018 5.234
O -0.325 -3.253 7.289
O -1.728 8.785 2.185
O -0.897 1.130 8.399
O 0.874 -1.016 5.234
O 0.388 3.389 3.110
O -0.332 6.572 2.834
O 2.096 1.465 0.591
O 0.600 8.542 0.591
O 0.895 -1.129 8.400
O 1.791 1.091 3.611
O 0.323 3.255 7.289
O 2.291 -3.313 7.547
O 1.787 1.046 6.811
O 0.755 6.770 5.216
O 3.547 -1.089 3.611
O 1.941 3.237 5.215
O 3.031 3.435 2.835
O 2.311 6.619 3.113
O 3.289 6.335 0.759
O 3.549 -1.044 6.810
```

The 10 most intense peaks (2θ from 10° to 90°), sorted by position:
2θ 25.9, rel. 100
2θ 26.4, rel. 75
2θ 27.2, rel. 44
2θ 29.6, rel. 61
2θ 31.5, rel. 52
2θ 32.6, rel. 100
2θ 34.2, rel. 45
2θ 34.8, rel. 81
2θ 40.9, rel. 42
2θ 53.9, rel. 41

Entry 2:
This entry pairs a crystal structure of Tb2Nd3Er3 with its simulated powder diffraction line list. Radiation: copper Kα. Structure: a crystal structure in Alexandria, relaxed with GGA-PBE.
Peak positions follow from Bragg's law for the DFT cell and can differ from measured ones.

Structural model:
```
16
Lattice="5.054 0.000 0.000 0.000 5.080 0.000 0.000 0.000 20.311" Properties=species:S:1:pos:R:3 pbc="T T T"
Tb 0.000 0.000 5.064
Tb 0.000 0.000 15.247
Tb 2.527 2.540 5.092
Tb 2.527 2.540 15.219
Nd 0.000 0.000 0.000
Nd 0.000 2.540 2.531
Nd 0.000 2.540 17.780
Nd 2.527 0.000 7.625
Nd 2.527 0.000 12.686
Nd 2.527 2.540 10.155
Er 0.000 0.000 10.155
Er 0.000 2.540 7.595
Er 0.000 2.540 12.716
Er 2.527 0.000 2.560
Er 2.527 0.000 17.750
Er 2.527 2.540 0.000
```

The 10 most intense peaks (2θ from 10° to 90°), sorted by position:
2θ 30.5, rel. 100
2θ 35.3, rel. 34
2θ 35.5, rel. 17
2θ 50.9, rel. 12
2θ 51.0, rel. 24
2θ 60.5, rel. 29
2θ 60.7, rel. 14
2θ 63.6, rel. 12
2θ 83.1, rel. 12
2θ 85.5, rel. 8

Entry 3:
This entry pairs a crystal structure of Ba2PmTcN4 with its simulated powder diffraction line list. Radiation: copper Kα. Structure: a crystal structure in Alexandria, relaxed with GGA-PBE.
Peak positions follow from Bragg's law for the DFT cell and can differ from measured ones.

Structural model:
```
16
Lattice="0.000 6.052 10.705 3.048 0.000 10.705 3.048 6.052 0.000" Properties=species:S:1:pos:R:3 pbc="T T T"
Ba 2.286 4.539 1.364
Ba 3.810 7.566 6.716
Ba 2.286 4.539 14.693
Ba 3.810 7.566 20.046
Pm 0.762 1.513 2.676
Pm 5.334 10.592 18.733
Tc 2.286 4.539 8.029
Tc 3.810 7.566 13.381
N 3.467 3.423 7.131
N 3.467 5.655 8.927
N 4.991 6.450 14.279
N 4.991 8.681 12.483
N 1.105 3.423 8.927
N 1.105 5.655 7.131
N 2.629 6.450 12.483
N 2.629 8.681 14.279
```

The 10 most intense peaks (2θ from 10° to 90°), sorted by position:
2θ 16.6, rel. 89
2θ 16.8, rel. 42
2θ 20.5, rel. 45
2θ 26.5, rel. 47
2θ 29.0, rel. 100
2θ 29.5, rel. 59
2θ 32.9, rel. 97
2θ 33.9, rel. 43
2θ 38.9, rel. 46
2θ 49.5, rel. 45